For Nd3Si2Pd9Au, a GGA-PBE-relaxed structure gives the computed X-ray powder pattern in this record (copper Kα).
Neutral-atom scattering factors, no anomalous dispersion.

The 10 most intense peaks (2θ from 10° to 90°), sorted by position:
2θ 24.7, intensity 35
2θ 30.5, intensity 20
2θ 35.2, intensity 26
2θ 36.9, intensity 66
2θ 37.8, intensity 24
2θ 39.7, intensity 100
2θ 49.6, intensity 30
2θ 59.7, intensity 16
2θ 64.6, intensity 27
2θ 78.6, intensity 13

Crystal structure
Lattice parameters (Å, degrees): 5.772 5.772 10.834 90.00 90.00 120.00
Atoms (fractional coordinates):
Nd: 0.000 0.000 0.000
Nd: 0.333 0.667 0.601
Nd: 0.667 0.333 0.399
Si: 0.333 0.667 0.157
Si: 0.667 0.333 0.843
Pd: 0.000 0.500 0.000
Pd: 0.162 0.325 0.300
Pd: 0.162 0.838 0.300
Pd: 0.325 0.162 0.700
Pd: 0.500 0.000 0.000
Pd: 0.500 0.500 0.000
Pd: 0.675 0.838 0.300
Pd: 0.838 0.162 0.700
Pd: 0.838 0.675 0.700
Au: 0.000 0.000 0.500